Mo5As4: theoretical X-ray diffraction stick pattern (Cu Kα), based on DFT lattice parameters and positions (GGA-PBE).
Neutral-atom scattering factors, no anomalous dispersion.

Peak list (10 most intense, 5 to 70 degrees two-theta, in order of falling intensity)
2θ = 39.02°, intensity 100
2θ = 41.68°, intensity 59
2θ = 34.15°, intensity 54
2θ = 47.49°, intensity 38
2θ = 12.92°, intensity 37
2θ = 39.45°, intensity 24
2θ = 43.42°, intensity 24
2θ = 55.71°, intensity 18
2θ = 68.17°, intensity 14
2θ = 60.42°, intensity 13

Structure:
Cell lengths 7.0478, 7.0478, 7.0478 Å; angles 93.14, 93.14, 152.92 degrees
Fractional positions:
Mo 0.0000 0.0000 0.0000
Mo 0.2989 0.3792 0.6780
Mo 0.3792 0.7011 0.0803
Mo 0.6208 0.2989 0.9197
Mo 0.7011 0.6208 0.3220
As 0.0573 0.2858 0.3430
As 0.2858 0.9427 0.2285
As 0.7142 0.0573 0.7715
As 0.9427 0.7142 0.6570

EuZnPd: theoretical X-ray diffraction stick pattern (Cu Kα), based on DFT lattice parameters and positions (GGA-PBE).
Neutral-atom scattering factors, no anomalous dispersion.

Peak list (10 most intense, 5 to 70 degrees two-theta, in order of falling intensity)
2θ = 33.59°, intensity 100
2θ = 32.58°, intensity 58
2θ = 39.82°, intensity 43
2θ = 39.41°, intensity 39
2θ = 33.75°, intensity 29
2θ = 39.07°, intensity 23
2θ = 64.68°, intensity 21
2θ = 52.83°, intensity 16
2θ = 56.70°, intensity 15
2θ = 36.66°, intensity 14

Structure:
Cell lengths 7.2393, 4.5732, 7.8161 Å; angles 90.00, 90.00, 90.00 degrees
Fractional positions:
Eu 0.0130 0.2500 0.1944
Eu 0.4870 0.7500 0.6944
Eu 0.5130 0.2500 0.3056
Eu 0.9870 0.7500 0.8056
Zn 0.1661 0.2500 0.5764
Zn 0.3339 0.7500 0.0764
Zn 0.6661 0.2500 0.9236
Zn 0.8339 0.7500 0.4236
Pd 0.2068 0.7500 0.3989
Pd 0.2932 0.2500 0.8989
Pd 0.7068 0.7500 0.1011
Pd 0.7932 0.2500 0.6011